This entry pairs a crystal structure of Li2UBr6 with its calculated PXRD pattern. Radiation: Cu Kα (λ = 1.5418 Å). Structure: a structure optimized by DFT (GGA-PBE).

Atomic structure:
Cell: 7.089 38.135 7.421 Å, 90.00 107.48 90.00°
Space group C2 (No. 5)
Inequivalent atoms, fractional coordinates:
1 Li 0.042 0.000 0.303
2 Li 0.124 0.338 0.336
3 Li 0.129 0.672 0.349
4 U 0.000 0.228 0.000
5 U 0.000 0.559 0.500
6 U 0.000 0.892 0.000
7 Br 0.144 0.060 0.222
8 Br 0.146 0.607 0.290
9 Br 0.190 0.506 0.340
10 Br 0.214 0.945 0.227
11 Br 0.230 0.279 0.236
12 Br 0.238 0.177 0.262
13 Br 0.242 0.842 0.268
14 Br 0.244 0.393 0.220
15 Br 0.245 0.727 0.222

Largest 10 diffraction maxima, sorted by position, 2θ = 5–70°:
(0 2 1), 2θ 13.34, 6.636 Å, rel. 79; (0 6 0), 2θ 13.93, 6.356 Å, rel. 77; (1 3 0), 2θ 14.84, 5.969 Å, rel. 97; (1 1 -1), 2θ 15.34, 5.777 Å, rel. 57; (0 4 1), 2θ 15.59, 5.683 Å, rel. 43; (2 0 -1), 2θ 25.58, 3.482 Å, rel. 31; (1 9 -1), 2θ 25.97, 3.430 Å, rel. 65; (1 9 1), 2θ 29.64, 3.014 Å, rel. 100; (2 0 -2), 2θ 30.59, 2.922 Å, rel. 48; (1 3 2), 2θ 32.65, 2.742 Å, rel. 32